[1]
Computed powder X-ray diffraction pattern of PrSiPd for Cu Kα (weighted mean of Kα1 and Kα2), from a crystal structure in Alexandria, relaxed with PBE.
Lines closer than 0.1° are merged.

Principal peaks in the range 10 to 90 degrees two-theta, sorted by position:
30.72°, I = 80
32.42°, I = 100
32.83°, I = 53
33.38°, I = 38
34.00°, I = 88
36.34°, I = 92
37.34°, I = 92
41.26°, I = 83

Crystal structure
Unit cell a=10.9199 b=5.8935 c=7.9200 alpha=90.00 beta=91.83 gamma=90.00
Element x y z (fractional)
Pr 0.1294 0.1316 0.3261
Pr 0.1294 0.3684 0.8261
Pr 0.3570 0.6337 0.4660
Pr 0.3570 0.8663 0.9660
Pr 0.6430 0.1337 0.0340
Pr 0.6430 0.3663 0.5340
Pr 0.8706 0.6316 0.1739
Pr 0.8706 0.8684 0.6739
Si 0.0765 0.6331 0.4647
Si 0.0765 0.8669 0.9647
Si 0.3562 0.1419 0.6243
Si 0.3562 0.3581 0.1243
Si 0.6438 0.6419 0.8757
Si 0.6438 0.8581 0.3757
Si 0.9235 0.1331 0.0353
Si 0.9235 0.3669 0.5353
Pd 0.1684 0.6085 0.1784
Pd 0.1684 0.8915 0.6784
Pd 0.4480 0.0994 0.3363
Pd 0.4480 0.4006 0.8363
Pd 0.5520 0.5994 0.1637
Pd 0.5520 0.9006 0.6637
Pd 0.8316 0.1085 0.3216
Pd 0.8316 0.3915 0.8216

=====

[2]
Computed powder X-ray diffraction pattern of PrHoTeO2 for Cu Kα (weighted mean of Kα1 and Kα2), from a crystal structure in Alexandria, relaxed with PBE.
Lines closer than 0.1° are merged.

Principal peaks in the range 10 to 90 degrees two-theta, sorted by position:
25.27°, I = 88
30.06°, I = 95
30.46°, I = 100
31.84°, I = 75
31.97°, I = 47
34.57°, I = 84
43.53°, I = 44
54.06°, I = 40

Crystal structure
Unit cell a=6.9543 b=4.1582 c=7.9303 alpha=90.00 beta=107.30 gamma=90.00
Element x y z (fractional)
Pr 0.1809 0.2500 0.4255
Pr 0.8191 0.7500 0.5745
Ho 0.1543 0.2500 0.9133
Ho 0.8457 0.7500 0.0867
Te 0.4512 0.7500 0.7531
Te 0.5488 0.2500 0.2469
O 0.0110 0.7500 0.8866
O 0.0159 0.7500 0.3702
O 0.9841 0.2500 0.6298
O 0.9890 0.2500 0.1134

=====

[3]
Computed powder X-ray diffraction pattern of RbPuTe4 for Cu Kα (weighted mean of Kα1 and Kα2), from a crystal structure in Alexandria, relaxed with PBE.
Lines closer than 0.1° are merged.

Principal peaks in the range 10 to 90 degrees two-theta, sorted by position:
26.51°, I = 100
30.73°, I = 83
32.42°, I = 51
35.04°, I = 21
41.73°, I = 49
42.92°, I = 22
49.02°, I = 26
57.33°, I = 24

Crystal structure
Unit cell a=6.8452 b=6.8452 c=9.3500 alpha=90.00 beta=90.00 gamma=90.00
Element x y z (fractional)
Rb 0.2500 0.2500 0.0000
Rb 0.7500 0.7500 0.0000
Pu 0.2500 0.2500 0.5000
Pu 0.7500 0.7500 0.5000
Te 0.1027 0.6027 0.2983
Te 0.1027 0.8973 0.7017
Te 0.3973 0.6027 0.7017
Te 0.3973 0.8973 0.2983
Te 0.6027 0.1027 0.7017
Te 0.6027 0.3973 0.2983
Te 0.8973 0.1027 0.2983
Te 0.8973 0.3973 0.7017

=====

[4]
Computed powder X-ray diffraction pattern of PmNdCdSi for Cu Kα (weighted mean of Kα1 and Kα2), from a crystal structure in Alexandria, relaxed with PBE.
Lines closer than 0.1° are merged.

Principal peaks in the range 10 to 90 degrees two-theta, sorted by position:
20.71°, I = 9
23.96°, I = 14
34.15°, I = 100
49.06°, I = 18
55.32°, I = 6
61.13°, I = 36
71.91°, I = 11
82.06°, I = 16

Crystal structure
Unit cell a=7.4271 b=7.4271 c=7.4271 alpha=90.00 beta=90.00 gamma=90.00
Element x y z (fractional)
Pm 0.0000 0.0000 0.0000
Pm 0.0000 0.5000 0.5000
Pm 0.5000 0.0000 0.5000
Pm 0.5000 0.5000 0.0000
Nd 0.0000 0.0000 0.5000
Nd 0.0000 0.5000 0.0000
Nd 0.5000 0.0000 0.0000
Nd 0.5000 0.5000 0.5000
Cd 0.2500 0.2500 0.7500
Cd 0.2500 0.7500 0.2500
Cd 0.7500 0.2500 0.2500
Cd 0.7500 0.7500 0.7500
Si 0.2500 0.2500 0.2500
Si 0.2500 0.7500 0.7500
Si 0.7500 0.2500 0.7500
Si 0.7500 0.7500 0.2500

=====

[5]
Computed powder X-ray diffraction pattern of Pm3Cu2Si4 for Cu Kα (weighted mean of Kα1 and Kα2), from a crystal structure in Alexandria, relaxed with PBE.
Lines closer than 0.1° are merged.

Principal peaks in the range 10 to 90 degrees two-theta, sorted by position:
25.22°, I = 30
33.27°, I = 100
43.46°, I = 12
44.36°, I = 11
44.48°, I = 22
50.91°, I = 9
56.58°, I = 15
63.93°, I = 14

Crystal structure
Unit cell a=5.8278 b=5.8278 c=8.1861 alpha=99.07 beta=99.07 gamma=41.02
Element x y z (fractional)
Pm 0.0000 0.0000 0.0000
Pm 0.3376 0.3376 0.3324
Pm 0.6624 0.6624 0.6676
Cu 0.3888 0.3888 0.7185
Cu 0.6112 0.6112 0.2815
Si 0.0589 0.0589 0.3883
Si 0.2822 0.2822 0.9402
Si 0.7178 0.7178 0.0598
Si 0.9411 0.9411 0.6117

=====

[6]
Computed powder X-ray diffraction pattern of Cs2Re2S5 for Cu Kα (weighted mean of Kα1 and Kα2), from a crystal structure in Alexandria, relaxed with PBE.
Lines closer than 0.1° are merged.

Principal peaks in the range 10 to 90 degrees two-theta, sorted by position:
12.65°, I = 100
14.22°, I = 46
20.33°, I = 26
24.76°, I = 22
35.82°, I = 32
44.31°, I = 37
45.23°, I = 30
50.86°, I = 27

Crystal structure
Unit cell a=12.6060 b=12.6060 c=12.6060 alpha=67.41 beta=67.41 gamma=67.41
Element x y z (fractional)
Cs 0.0302 0.7843 0.6453
Cs 0.1453 0.2843 0.5302
Cs 0.2157 0.3547 0.9698
Cs 0.2843 0.5302 0.1453
Cs 0.3547 0.9698 0.2157
Cs 0.4698 0.8547 0.7157
Cs 0.5302 0.1453 0.2843
Cs 0.6453 0.0302 0.7843
Cs 0.7157 0.4698 0.8547
Cs 0.7843 0.6453 0.0302
Cs 0.8547 0.7157 0.4698
Cs 0.9698 0.2157 0.3547
Re 0.0489 0.9225 0.1400
Re 0.0775 0.8600 0.9511
Re 0.1400 0.0489 0.9225
Re 0.3600 0.5775 0.4511
Re 0.4225 0.5489 0.6400
Re 0.4511 0.3600 0.5775
Re 0.5489 0.6400 0.4225
Re 0.5775 0.4511 0.3600
Re 0.6400 0.4225 0.5489
Re 0.8600 0.9511 0.0775
Re 0.9225 0.1400 0.0489
Re 0.9511 0.0775 0.8600
S 0.0129 0.2439 0.8450
S 0.1019 0.1019 0.1019
S 0.1113 0.8438 0.3267
S 0.1550 0.9871 0.7561
S 0.1562 0.6733 0.8887
S 0.1733 0.6562 0.3887
S 0.2439 0.8450 0.0129
S 0.2500 0.2500 0.2500
S 0.2561 0.4871 0.6550
S 0.3267 0.1113 0.8438
S 0.3438 0.6113 0.8267
S 0.3450 0.7439 0.5129
S 0.3887 0.1733 0.6562
S 0.3981 0.3981 0.3981
S 0.4871 0.6550 0.2561
S 0.5129 0.3450 0.7439
S 0.6019 0.6019 0.6019
S 0.6113 0.8267 0.3438
S 0.6550 0.2561 0.4871
S 0.6562 0.3887 0.1733
S 0.6733 0.8887 0.1562
S 0.7439 0.5129 0.3450
S 0.7500 0.7500 0.7500
S 0.7561 0.1550 0.9871
S 0.8267 0.3438 0.6113
S 0.8438 0.3267 0.1113
S 0.8450 0.0129 0.2439
S 0.8887 0.1562 0.6733
S 0.8981 0.8981 0.8981
S 0.9871 0.7561 0.1550

=====

[7]
Computed powder X-ray diffraction pattern of Sc4Ru2Rh for Cu Kα (weighted mean of Kα1 and Kα2), from a crystal structure in Alexandria, relaxed with PBE.
Lines closer than 0.1° are merged.

Principal peaks in the range 10 to 90 degrees two-theta, sorted by position:
19.60°, I = 29
27.86°, I = 9
34.30°, I = 14
39.81°, I = 100
57.64°, I = 11
72.18°, I = 11
72.33°, I = 21
85.78°, I = 7

Crystal structure
Unit cell a=6.3964 b=6.3964 c=6.4188 alpha=90.00 beta=90.00 gamma=90.00
Element x y z (fractional)
Sc 0.2500 0.2500 0.2500
Sc 0.2500 0.2500 0.7500
Sc 0.2500 0.7500 0.2500
Sc 0.2500 0.7500 0.7500
Sc 0.7500 0.2500 0.2500
Sc 0.7500 0.2500 0.7500
Sc 0.7500 0.7500 0.2500
Sc 0.7500 0.7500 0.7500
Ru 0.0000 0.5000 0.0000
Ru 0.0000 0.5000 0.5000
Ru 0.5000 0.0000 0.0000
Ru 0.5000 0.0000 0.5000
Rh 0.0000 0.0000 0.0000
Rh 0.5000 0.5000 0.5000

=====

[8]
Computed powder X-ray diffraction pattern of LaCu2PPd2 for Cu Kα (weighted mean of Kα1 and Kα2), from a crystal structure in Alexandria, relaxed with PBE.
Lines closer than 0.1° are merged.

Principal peaks in the range 10 to 90 degrees two-theta, sorted by position:
28.97°, I = 41
32.85°, I = 71
37.03°, I = 100
41.44°, I = 69
56.77°, I = 57
60.04°, I = 22
78.85°, I = 18
87.28°, I = 17

Crystal structure
Unit cell a=4.3583 b=4.3583 c=5.8467 alpha=90.00 beta=90.00 gamma=90.00
Element x y z (fractional)
La 0.0000 0.0000 0.0000
Cu 0.0000 0.5000 0.5000
Cu 0.5000 0.0000 0.5000
P 0.0000 0.0000 0.5000
Pd 0.5000 0.5000 0.2309
Pd 0.5000 0.5000 0.7691

=====

[9]
Computed powder X-ray diffraction pattern of In5CuSe8 for Cu Kα (weighted mean of Kα1 and Kα2), from a crystal structure in Alexandria, relaxed with PBE.
Lines closer than 0.1° are merged.

Principal peaks in the range 10 to 90 degrees two-theta, sorted by position:
21.31°, I = 8
26.19°, I = 100
34.01°, I = 10
43.44°, I = 71
51.43°, I = 41
69.54°, I = 15
79.72°, I = 19
85.62°, I = 9

Crystal structure
Unit cell a=5.8957 b=5.8957 c=11.7722 alpha=90.00 beta=90.00 gamma=90.00
Element x y z (fractional)
In 0.0000 0.0000 0.0000
In 0.0000 0.5000 0.2617
In 0.0000 0.5000 0.7383
In 0.5000 0.0000 0.2617
In 0.5000 0.0000 0.7383
Cu 0.5000 0.5000 0.5000
Se 0.2459 0.2459 0.6053
Se 0.2459 0.7541 0.3947
Se 0.2707 0.2707 0.1169
Se 0.2707 0.7293 0.8831
Se 0.7293 0.2707 0.8831
Se 0.7293 0.7293 0.1169
Se 0.7541 0.2459 0.3947
Se 0.7541 0.7541 0.6053

=====

[10]
Computed powder X-ray diffraction pattern of Ba2In6CuAg for Cu Kα (weighted mean of Kα1 and Kα2), from a crystal structure in Alexandria, relaxed with PBE.
Lines closer than 0.1° are merged.

Principal peaks in the range 10 to 90 degrees two-theta, sorted by position:
26.25°, I = 74
26.48°, I = 38
28.25°, I = 38
29.97°, I = 45
30.19°, I = 93
33.81°, I = 100
34.08°, I = 70
50.92°, I = 46

Crystal structure
Unit cell a=7.1605 b=7.1681 c=7.8700 alpha=63.64 beta=63.06 gamma=60.13
Element x y z (fractional)
Ba 0.2077 0.2073 0.3763
Ba 0.7923 0.7927 0.6237
In 0.2403 0.2502 0.8335
In 0.2513 0.6717 0.8373
In 0.3231 0.7624 0.1673
In 0.6769 0.2376 0.8327
In 0.7487 0.3283 0.1627
In 0.7597 0.7498 0.1665
Cu 0.0000 0.0000 0.0000
Ag 0.5000 0.5000 0.5000

=====

[11]
Computed powder X-ray diffraction pattern of Nb2Tc2Ru for Cu Kα (weighted mean of Kα1 and Kα2), from a crystal structure in Alexandria, relaxed with PBE.
Lines closer than 0.1° are merged.

Principal peaks in the range 10 to 90 degrees two-theta, sorted by position:
35.32°, I = 11
37.59°, I = 26
39.69°, I = 100
45.51°, I = 10
49.14°, I = 8
57.48°, I = 9
72.09°, I = 12
73.38°, I = 10

Crystal structure
Unit cell a=7.1869 b=7.1869 c=3.2065 alpha=90.00 beta=90.00 gamma=90.00
Element x y z (fractional)
Nb 0.1823 0.3177 0.0000
Nb 0.3177 0.8177 0.0000
Nb 0.6823 0.1823 0.0000
Nb 0.8177 0.6823 0.0000
Tc 0.1258 0.6258 0.5000
Tc 0.3742 0.1258 0.5000
Tc 0.6258 0.8742 0.5000
Tc 0.8742 0.3742 0.5000
Ru 0.0000 0.0000 0.5000
Ru 0.5000 0.5000 0.5000

=====

[12]
Computed powder X-ray diffraction pattern of DyMnSb3 for Cu Kα (weighted mean of Kα1 and Kα2), from a crystal structure in Alexandria, relaxed with PBE.
Lines closer than 0.1° are merged.

Principal peaks in the range 10 to 90 degrees two-theta, sorted by position:
29.52°, I = 32
32.02°, I = 78
32.92°, I = 50
35.05°, I = 100
35.35°, I = 28
35.81°, I = 28
36.62°, I = 34
41.73°, I = 73

Crystal structure
Unit cell a=12.7017 b=6.2246 c=6.0232 alpha=90.00 beta=90.00 gamma=90.00
Element x y z (fractional)
Dy 0.1889 0.0039 0.2500
Dy 0.1889 0.4961 0.7500
Dy 0.8111 0.5039 0.2500
Dy 0.8111 0.9961 0.7500
Mn 0.4038 0.7500 0.0000
Mn 0.4038 0.7500 0.5000
Mn 0.5962 0.2500 0.0000
Mn 0.5962 0.2500 0.5000
Sb 0.0022 0.7500 0.0000
Sb 0.0022 0.7500 0.5000
Sb 0.2710 0.9999 0.7500
Sb 0.2710 0.5001 0.2500
Sb 0.4352 0.1038 0.2500
Sb 0.4352 0.3962 0.7500
Sb 0.5648 0.6038 0.2500
Sb 0.5648 0.8962 0.7500
Sb 0.7290 0.0001 0.2500
Sb 0.7290 0.4999 0.7500
Sb 0.9978 0.2500 0.0000
Sb 0.9978 0.2500 0.5000

=====

What did the tenth record say?
Computed powder X-ray diffraction pattern of Ba2In6CuAg for Cu Kα (weighted mean of Kα1 and Kα2), from a crystal structure in Alexandria, relaxed with PBE.
Lines closer than 0.1° are merged.

Principal peaks in the range 10 to 90 degrees two-theta, sorted by position:
26.25°, I = 74
26.48°, I = 38
28.25°, I = 38
29.97°, I = 45
30.19°, I = 93
33.81°, I = 100
34.08°, I = 70
50.92°, I = 46

Crystal structure
Unit cell a=7.1605 b=7.1681 c=7.8700 alpha=63.64 beta=63.06 gamma=60.13
Element x y z (fractional)
Ba 0.2077 0.2073 0.3763
Ba 0.7923 0.7927 0.6237
In 0.2403 0.2502 0.8335
In 0.2513 0.6717 0.8373
In 0.3231 0.7624 0.1673
In 0.6769 0.2376 0.8327
In 0.7487 0.3283 0.1627
In 0.7597 0.7498 0.1665
Cu 0.0000 0.0000 0.0000
Ag 0.5000 0.5000 0.5000